The following is a computed powder diffractogram of Sr2Hf7O16. It was derived from a DFT-relaxed cell (PBE, Alexandria), using Cu Ka.
No peak broadening, texture or thermal motion is included.

Cell and atoms:
```
25
Lattice="3.202 1.849 8.931 -3.202 1.849 8.931 0.000 -3.698 8.931" Properties=species:S:1:pos:R:3 pbc="T T T"
Sr 0.000 0.000 4.458
Sr 0.000 0.000 22.335
Hf -2.367 -0.011 10.304
Hf -1.174 -2.055 16.488
Hf 1.193 -2.045 10.304
Hf 0.000 0.000 13.396
Hf -1.193 2.045 16.488
Hf 1.174 2.055 10.304
Hf 2.367 0.010 16.488
O 0.000 0.000 1.886
O -0.835 -1.593 9.732
O -1.762 -0.031 12.252
O 0.000 0.000 7.078
O -0.854 -1.541 14.541
O -1.797 -0.074 17.061
O -0.963 1.519 9.732
O 0.908 -1.510 12.252
O -0.908 1.510 14.541
O 0.963 -1.519 17.061
O 1.797 0.074 9.732
O 0.854 1.541 12.252
O 0.000 0.000 19.715
O 1.762 0.031 14.541
O 0.835 1.593 17.061
O 0.000 0.000 24.907
```

Top 12 peaks for 10° ≤ 2θ ≤ 80°, in order of falling intensity:
2θ/deg  I/Imax
29.63  100
34.46  47
30.02  32
49.78  28
49.29  27
58.79  24
59.23  15
58.57  11
72.67  8
61.52  8
79.99  7
20.79  7

---

The following is a computed powder diffractogram of Sr3Hf2O7. It was derived from a DFT-relaxed cell (PBE, Alexandria), using Cu Ka.
No peak broadening, texture or thermal motion is included.

Cell and atoms:
```
24
Lattice="2.886 -10.685 0.000 2.886 10.685 0.000 0.000 0.000 5.772" Properties=species:S:1:pos:R:3 pbc="T T T"
Sr 2.886 9.367 4.329
Sr 2.886 5.343 4.329
Sr 2.886 1.319 4.329
Sr 2.886 -1.319 1.443
Sr 2.886 -5.343 1.443
Sr 2.886 -9.367 1.443
Hf 2.886 7.445 1.443
Hf 2.886 3.240 1.443
Hf 2.886 -3.240 4.329
Hf 2.886 -7.445 4.329
O 1.163 3.273 0.280
O 2.886 9.535 1.443
O 1.723 3.273 3.166
O 2.886 5.343 1.443
O 1.163 -3.273 3.166
O 2.886 1.150 1.443
O 1.723 -3.273 0.280
O 4.049 3.273 5.492
O 2.886 -1.150 4.329
O 4.609 3.273 2.606
O 2.886 -5.343 4.329
O 4.049 -3.273 2.606
O 2.886 -9.535 4.329
O 4.609 -3.273 5.492
```

Top 12 peaks for 10° ≤ 2θ ≤ 80°, in order of falling intensity:
2θ/deg  I/Imax
30.28  100
30.99  59
54.68  42
44.39  29
53.34  22
22.17  17
62.98  17
16.59  16
42.29  15
73.35  11
64.59  9
72.98  8

---

The following is a computed powder diffractogram of Sr3Hf2O7. It was derived from a DFT-relaxed cell (PBE, Alexandria), using Cu Ka.
No peak broadening, texture or thermal motion is included.

Cell and atoms:
```
12
Lattice="-2.066 2.066 10.517 2.066 -2.066 10.517 2.066 2.066 -10.517" Properties=species:S:1:pos:R:3 pbc="T T T"
Sr 0.000 0.000 0.000
Sr 0.000 0.000 3.925
Sr 0.000 0.000 17.108
Hf 0.000 0.000 8.423
Hf 0.000 0.000 12.611
O 2.066 0.000 2.059
O 0.000 0.000 6.345
O 2.066 0.000 8.458
O 0.000 0.000 10.517
O 0.000 2.066 2.059
O 0.000 0.000 14.689
O 0.000 2.066 8.458
```

Top 12 peaks for 10° ≤ 2θ ≤ 80°, in order of falling intensity:
2θ/deg  I/Imax
30.32  100
30.60  58
54.21  41
43.82  32
53.69  20
21.92  18
16.86  17
63.07  17
43.00  14
72.31  10
63.70  10
44.54  10